# 1
The following is a computed powder diffractogram of LiSi2Au6. It was derived from a crystal structure in Alexandria, relaxed with PBE, using copper Kα.
Intensities are scaled so that the largest is 100.

Most intense lines, 10° ≤ 2θ ≤ 90°, low angle first:
d/Å	I/Imax
5.262	12
2.957	57
2.631	20
2.315	100
2.268	25
2.100	21
1.718	12
1.541	15
1.351	15
1.330	10
1.318	16
1.250	15

Structure:
Lattice parameters (Å, degrees): 8.6019 7.1212 5.6655 83.73 55.38 40.90
Atoms (fractional coordinates):
Li  0.0000  0.0000  0.0000
Si  0.3570  0.3570  0.6430
Si  0.6430  0.6430  0.3570
Au  0.0252  0.3171  0.6829
Au  0.3171  0.0252  0.9748
Au  0.3410  0.6590  0.3410
Au  0.6590  0.3410  0.6590
Au  0.6829  0.9748  0.0252
Au  0.9748  0.6829  0.3171

=====

# 2
The following is a computed powder diffractogram of Tb2Ga6CoPd. It was derived from a crystal structure in Alexandria, relaxed with PBE, using copper Kα.
Intensities are scaled so that the largest is 100.

Most intense lines, 10° ≤ 2θ ≤ 90°, low angle first:
d/Å	I/Imax
3.289	70
2.685	80
2.326	100
2.134	3
1.899	29
1.644	67
1.471	13
1.402	31
1.343	22
1.243	15
1.163	10
1.096	8

Structure:
Lattice parameters (Å, degrees): 6.5778 6.5778 6.5778 60.00 60.00 60.00
Atoms (fractional coordinates):
Tb  0.2500  0.2500  0.2500
Tb  0.7500  0.7500  0.7500
Ga  0.2418  0.2418  0.7582
Ga  0.2418  0.7582  0.2418
Ga  0.2418  0.7582  0.7582
Ga  0.7582  0.2418  0.2418
Ga  0.7582  0.2418  0.7582
Ga  0.7582  0.7582  0.2418
Co  0.0000  0.0000  0.0000
Pd  0.5000  0.5000  0.5000